Entry 1:
Diffraction record for EuMo6Se8. The X-ray diffraction stick pattern is computed, not measured: it uses DFT lattice parameters and positions (PBE) and Cu Kα X-rays.

Structural model:
```
data_EuMo6Se8
_chemical_formula_sum 'Eu3 Mo18 Se24'
_cell_length_a 9.6042
_cell_length_b 9.6042
_cell_length_c 12.1201
_cell_angle_alpha 90.00
_cell_angle_beta 90.00
_cell_angle_gamma 120.00
_space_group_name_H-M_alt 'R -3'
_space_group_IT_number 148
_space_group_name_Hall '-R 3'
loop_
_atom_site_label
_atom_site_type_symbol
_atom_site_fract_x
_atom_site_fract_y
_atom_site_fract_z
Eu1 Eu 0.0000 0.0000 0.0000
Mo1 Mo 0.0164 0.1693 0.4073
Se1 Se 0.0000 0.0000 0.2427
Se2 Se 0.0000 0.3725 0.2500
```

Peak list (10 most intense, 2θ from 15° to 90°, in order of rising 2θ)
Position (°2θ), d_spacing, I (rel.), (hkl)
28.88, 3.091, 38, 1 1 3
29.35, 3.043, 36, 3 -1 1
32.07, 2.791, 37, 3 -2 2
32.29, 2.773, 46, 3 0 0
38.69, 2.327, 37, 0 1 5
39.78, 2.266, 67, 4 -3 1
41.39, 2.182, 50, 2 1 4
43.86, 2.064, 100, 4 -2 3
57.04, 1.615, 38, 3 2 4
67.60, 1.386, 32, 6 0 0

***

Entry 2:
Diffraction record for Eu2CoSi3. The X-ray diffraction stick pattern is computed, not measured: it uses DFT lattice parameters and positions (PBE) and Cu Kα X-rays.

Structural model:
```
data_Eu2CoSi3
_chemical_formula_sum 'Eu2 Co1 Si3'
_cell_length_a 4.0071
_cell_length_b 4.0071
_cell_length_c 8.7742
_cell_angle_alpha 90.00
_cell_angle_beta 90.00
_cell_angle_gamma 120.00
_space_group_name_H-M_alt 'P -6 m 2'
_space_group_IT_number 187
_space_group_name_Hall 'P -6 2'
loop_
_atom_site_label
_atom_site_type_symbol
_atom_site_fract_x
_atom_site_fract_y
_atom_site_fract_z
Eu1 Eu 0.0000 0.0000 0.2398
Co1 Co 0.3333 0.6667 0.0000
Si1 Si 0.3333 0.6667 0.5000
Si2 Si 0.6667 0.3333 0.0000
Si3 Si 0.6667 0.3333 0.5000
```

Peak list (10 most intense, 2θ from 15° to 90°, in order of rising 2θ)
Position (°2θ), d_spacing, I (rel.), (hkl)
20.24, 4.387, 8, 0 0 2
25.67, 3.470, 35, 1 0 0
32.91, 2.722, 100, 1 0 2
41.15, 2.194, 12, 0 0 4
45.26, 2.004, 29, 1 1 0
49.14, 1.854, 11, 1 0 4
57.08, 1.614, 20, 2 0 2
62.82, 1.479, 21, 1 1 4
69.79, 1.348, 10, 1 0 6
75.68, 1.257, 18, 2 1 2

***

Entry 3:
Diffraction record for ScTaP2SO12. The X-ray diffraction stick pattern is computed, not measured: it uses DFT lattice parameters and positions (PBE) and Cu Kα X-rays.

Structural model:
```
data_ScTaP2SO12
_chemical_formula_sum 'Sc4 Ta4 P8 S4 O48'
_cell_length_a 15.307
_cell_length_b 8.820
_cell_length_c 9.160
_cell_angle_alpha 90.00
_cell_angle_beta 124.21
_cell_angle_gamma 90.00
_space_group_name_H-M_alt 'C 1 c 1'
_space_group_IT_number 9
loop_
_space_group_symop_operation_xyz
'x,y,z'
'x,-y,z+1/2'
'x+1/2,y+1/2,z'
'x+1/2,-y+1/2,z+1/2'
loop_
_atom_site_label
_atom_site_type_symbol
_atom_site_fract_x
_atom_site_fract_y
_atom_site_fract_z
Sc1 Sc 0.000 0.248 0.000
Ta1 Ta 0.211 0.259 0.638
P1 P 0.105 0.464 0.816
P2 P 0.464 0.392 0.816
S1 S 0.250 0.104 0.318
O1 O 0.040 0.438 0.155
O2 O 0.041 0.359 0.851
O3 O 0.065 0.184 0.483
O4 O 0.158 0.171 0.161
O5 O 0.179 0.432 0.484
O6 O 0.183 0.365 0.791
O7 O 0.247 0.127 0.477
O8 O 0.250 0.066 0.792
O9 O 0.346 0.166 0.344
O10 O 0.362 0.312 0.786
O11 O 0.460 0.441 0.350
O12 O 0.465 0.363 0.655
```

Peak list (10 most intense, 2θ from 15° to 90°, in order of rising 2θ)
Position (°2θ), d_spacing, I (rel.), (hkl)
19.40, 4.576, 51, 2 0 -2
19.50, 4.552, 100, 1 1 1
20.12, 4.414, 99, 3 1 -1
23.30, 3.817, 58, 0 2 1
28.14, 3.172, 91, 4 0 0
31.02, 2.883, 31, 3 1 -3
31.17, 2.870, 72, 3 1 1
31.96, 2.801, 36, 1 3 -1
34.89, 2.572, 31, 1 3 1
35.21, 2.549, 40, 6 0 -2

***

Entry 4:
Diffraction record for Pu2S3. The X-ray diffraction stick pattern is computed, not measured: it uses DFT lattice parameters and positions (PBE) and Cu Kα X-rays.

Structural model:
```
data_Pu2S3
_chemical_formula_sum 'Pu12 S18'
_cell_length_a 6.9823
_cell_length_b 6.9823
_cell_length_c 18.3184
_cell_angle_alpha 90.00
_cell_angle_beta 90.00
_cell_angle_gamma 120.00
_space_group_name_H-M_alt 'R -3 c'
_space_group_IT_number 167
_space_group_name_Hall '-R 3 2"c'
loop_
_atom_site_label
_atom_site_type_symbol
_atom_site_fract_x
_atom_site_fract_y
_atom_site_fract_z
Pu1 Pu 0.0000 0.0000 0.1477
S1 S 0.0000 0.2938 0.2500
```

Peak list (10 most intense, 2θ from 15° to 90°, in order of rising 2θ)
Position (°2θ), d_spacing, I (rel.), (hkl)
17.57, 5.046, 30, 0 1 2
24.38, 3.651, 91, 1 0 4
25.51, 3.491, 100, 1 1 0
35.58, 2.523, 43, 0 2 4
39.20, 2.298, 60, 1 1 6
44.29, 2.045, 45, 2 1 4
44.97, 2.016, 39, 3 0 0
52.17, 1.753, 19, 1 0 10
61.16, 1.515, 16, 2 2 6
65.28, 1.429, 18, 2 1 10

***

Entry 5:
Diffraction record for EuInGe. The X-ray diffraction stick pattern is computed, not measured: it uses DFT lattice parameters and positions (PBE) and Cu Kα X-rays.

Structural model:
```
data_EuInGe
_chemical_formula_sum 'Eu4 In4 Ge4'
_cell_length_a 4.009
_cell_length_b 4.888
_cell_length_c 16.209
_cell_angle_alpha 90.00
_cell_angle_beta 90.00
_cell_angle_gamma 90.00
_space_group_name_H-M_alt 'P 21 21 21'
_space_group_IT_number 19
loop_
_space_group_symop_operation_xyz
'x,y,z'
'-x+1/2,-y,z+1/2'
'x+1/2,-y+1/2,-z'
'-x,y+1/2,-z+1/2'
loop_
_atom_site_label
_atom_site_type_symbol
_atom_site_fract_x
_atom_site_fract_y
_atom_site_fract_z
Eu1 Eu 0.004 0.230 0.393
In1 In 0.100 0.749 0.710
Ge1 Ge 0.000 0.322 0.957
```

Peak list (10 most intense, 2θ from 15° to 90°, in order of rising 2θ)
Position (°2θ), d_spacing, I (rel.), (hkl)
27.71, 3.219, 28, 1 0 3
29.34, 3.045, 15, 1 1 1
30.89, 2.895, 100, 1 1 2
33.16, 2.702, 63, 0 1 5
35.62, 2.521, 12, 1 0 5
36.77, 2.444, 29, 0 2 0
45.23, 2.005, 31, 2 0 0
46.66, 1.947, 18, 1 2 3
57.23, 1.610, 14, 2 1 5
59.65, 1.550, 21, 2 2 0

***

Entry 6:
Diffraction record for LiHf. The X-ray diffraction stick pattern is computed, not measured: it uses DFT lattice parameters and positions (PBE) and Cu Kα X-rays.

Structural model:
```
data_LiHf
_chemical_formula_sum 'Li1 Hf1'
_cell_length_a 2.9596
_cell_length_b 2.9596
_cell_length_c 5.4626
_cell_angle_alpha 90.00
_cell_angle_beta 90.00
_cell_angle_gamma 120.00
_space_group_name_H-M_alt 'P -6 m 2'
_space_group_IT_number 187
_space_group_name_Hall 'P -6 2'
loop_
_atom_site_label
_atom_site_type_symbol
_atom_site_fract_x
_atom_site_fract_y
_atom_site_fract_z
Li1 Li 0.0000 0.0000 0.0000
Hf1 Hf 0.3333 0.6667 0.5000
```

Peak list (10 most intense, 2θ from 15° to 90°, in order of rising 2θ)
Position (°2θ), d_spacing, I (rel.), (hkl)
16.23, 5.463, 100, 0 0 1
32.79, 2.731, 21, 0 0 2
35.01, 2.563, 48, 1 0 0
38.81, 2.320, 77, 1 0 1
48.72, 1.869, 38, 1 0 2
62.58, 1.484, 19, 1 0 3
62.79, 1.480, 10, 1 1 0
65.33, 1.428, 15, 1 1 1
72.67, 1.301, 13, 1 1 2
76.32, 1.248, 11, 2 0 1